(1)
Starting from a PBE-relaxed structure, the X-ray powder pattern of In2Pd3Rh was calculated for Cu Kα X-rays.
Kinematic intensities with the Lorentz-polarization factor, no thermal factor.

Crystal structure
Cell: 7.8325 7.8325 7.8325 Å, 137.76 61.00 138.10°
Positions (direct):
In  0.1456  0.2494  0.3950
In  0.3544  0.7494  0.1038
In  0.6456  0.2506  0.8962
In  0.8544  0.7506  0.6050
Pd  0.1547  0.7526  0.9073
Pd  0.2500  0.7500  0.5000
Pd  0.3453  0.2526  0.5979
Pd  0.6547  0.7474  0.4021
Pd  0.7500  0.2500  0.5000
Pd  0.8453  0.2474  0.0927
Rh  0.2500  0.2500  0.0000
Rh  0.7500  0.7500  0.0000

Largest 10 diffraction maxima, by intensity, 15 to 90 degrees two-theta:
two_theta	I/Imax
45.64	100.0
41.73	97.8
41.93	96.5
34.45	63.0
34.68	61.8
62.34	57.3
40.08	54.3
81.55	26.6
81.95	26.4
78.56	18.4



(2)
Starting from a PBE-relaxed structure, the X-ray powder pattern of In5PdRh4 was calculated for Cu Kα X-rays.
Kinematic intensities with the Lorentz-polarization factor, no thermal factor.

Crystal structure
Cell: 3.1756 3.1756 16.9864 Å, 90.00 90.00 90.00°
Positions (direct):
In  0.0000  0.0000  0.0000
In  0.0000  0.0000  0.1976
In  0.0000  0.0000  0.3961
In  0.0000  0.0000  0.6039
In  0.0000  0.0000  0.8024
Pd  0.5000  0.5000  0.5000
Rh  0.5000  0.5000  0.0985
Rh  0.5000  0.5000  0.2963
Rh  0.5000  0.5000  0.7037
Rh  0.5000  0.5000  0.9015

Largest 8 diffraction maxima, by intensity, 15 to 90 degrees two-theta:
two_theta	I/Imax
38.82	100.0
40.16	45.7
72.08	30.9
69.37	16.9
58.09	15.0
83.30	10.3
53.98	9.2
86.73	4.8